This entry pairs a crystal structure of Cu2Ag2Au5 with its calculated X-ray powder pattern. Radiation: Cu Kα X-rays. Structure: a cell relaxed with PBE.
Intensities are scaled so that the largest is 100.

Structural model:
```
Cu2Ag2Au5
1.0
4.894 0.000 0.000
2.425 4.364 0.000
1.516 0.035 7.122
Cu Ag Au
2 2 5
direct
0.220 0.003 0.336
0.780 0.997 0.664
0.336 0.328 0.000
0.664 0.672 0.000
0.000 0.000 0.000
0.105 0.323 0.663
0.430 0.674 0.663
0.570 0.326 0.337
0.895 0.677 0.337
```

Most intense lines, 2θ = 10–80°, sorted by position:
22.5°, intensity 36; 36.0°, intensity 22; 37.1°, intensity 25; 37.9°, intensity 86; 39.5°, intensity 55; 39.8°, intensity 55; 40.8°, intensity 40; 42.0°, intensity 100; 42.3°, intensity 40; 64.0°, intensity 19